(1)
Starting from a PBE-relaxed structure, the powder diffractogram of HoHg6 was calculated for λ = 1.5418 Å (Cu Kα).
Kinematic intensities with the Lorentz-polarization factor, no thermal factor.

Largest 6 diffraction maxima, by angle, 2θ from 10° to 90°:
34.11 deg, intensity 98.8
34.90 deg, intensity 100.0
49.60 deg, intensity 35.0
62.08 deg, intensity 36.0
62.59 deg, intensity 18.9
83.77 deg, intensity 16.2

Cell and atoms:
abc: 8.157 8.157 8.157
angles: 36.74 36.74 36.74
Element x y z (fractional)
Ho: 0.000 0.000 0.000
Hg: 0.139 0.139 0.139
Hg: 0.280 0.280 0.280
Hg: 0.419 0.419 0.419
Hg: 0.581 0.581 0.581
Hg: 0.720 0.720 0.720
Hg: 0.861 0.861 0.861

---

(2)
Starting from a PBE-relaxed structure, the powder diffractogram of Tb3S4Cl was calculated for λ = 1.5418 Å (Cu Kα).
Kinematic intensities with the Lorentz-polarization factor, no thermal factor.

Largest 6 diffraction maxima, by angle, 2θ from 10° to 90°:
19.39 deg, intensity 66.5
22.30 deg, intensity 68.4
24.30 deg, intensity 83.4
26.41 deg, intensity 94.6
37.88 deg, intensity 72.2
39.76 deg, intensity 100.0

Cell and atoms:
abc: 7.766 7.766 9.734
angles: 109.06 109.06 53.21
Element x y z (fractional)
Tb: 0.006 0.994 0.500
Tb: 0.356 0.380 0.282
Tb: 0.380 0.356 0.782
Tb: 0.596 0.612 0.700
Tb: 0.612 0.596 0.200
Tb: 0.994 0.006 0.000
S: 0.019 0.343 0.146
S: 0.181 0.789 0.240
S: 0.240 0.577 0.554
S: 0.343 0.019 0.646
S: 0.403 0.727 0.935
S: 0.577 0.240 0.054
S: 0.727 0.403 0.435
S: 0.789 0.181 0.740
Cl: 0.642 0.953 0.342
Cl: 0.953 0.642 0.842

---

(3)
Starting from a PBE-relaxed structure, the powder diffractogram of Tl4Se3 was calculated for λ = 1.5418 Å (Cu Kα).
Kinematic intensities with the Lorentz-polarization factor, no thermal factor.

Largest 6 diffraction maxima, by angle, 2θ from 10° to 90°:
25.03 deg, intensity 42.6
25.27 deg, intensity 39.4
26.43 deg, intensity 58.2
30.39 deg, intensity 100.0
40.70 deg, intensity 72.1
43.21 deg, intensity 19.8

Cell and atoms:
abc: 8.267 13.488 4.187
angles: 90.00 90.00 90.00
Element x y z (fractional)
Tl: 0.000 0.219 0.000
Tl: 0.000 0.781 0.000
Tl: 0.228 0.500 0.500
Tl: 0.272 0.000 0.500
Tl: 0.500 0.281 0.000
Tl: 0.500 0.719 0.000
Tl: 0.728 0.000 0.500
Tl: 0.772 0.500 0.500
Se: 0.000 0.000 0.000
Se: 0.250 0.250 0.500
Se: 0.250 0.750 0.500
Se: 0.500 0.500 0.000
Se: 0.750 0.250 0.500
Se: 0.750 0.750 0.500